# Tb2Nd6Dy3
Theoretical powder X-ray diffraction pattern, copper Kα. Input: a crystal structure in Alexandria, relaxed with GGA-PBE.
No peak broadening, texture or thermal motion is included.

```
data_Tb2Nd6Dy3
_chemical_formula_sum 'Tb6 Nd18 Dy9'
_cell_length_a 3.6233
_cell_length_b 3.6233
_cell_length_c 97.1578
_cell_angle_alpha 90.00
_cell_angle_beta 90.00
_cell_angle_gamma 120.00
_space_group_name_H-M_alt 'R -3 m'
_space_group_IT_number 166
_space_group_name_Hall '-R 3 2"'
loop_
_atom_site_label
_atom_site_fract_x
_atom_site_fract_y
_atom_site_fract_z
Tb1 0.0000 0.0000 0.0460
Nd1 0.0000 0.0000 0.1365
Nd2 0.0000 0.0000 0.3177
Nd3 0.0000 0.0000 0.4096
Dy1 0.0000 0.0000 0.2269
Dy2 0.0000 0.0000 0.5000
```

The 10 most intense peaks (2θ = 10–90°), by angle:
hkl, Position (°2θ), I_rel
0 1 11, 30.23, 100
0 0 33, 30.36, 33
1 0 22, 35.08, 67
1 1 0, 50.37, 24
0 1 44, 50.54, 24
2 0 11, 59.93, 43
1 0 55, 60.11, 14
0 2 22, 62.86, 13
1 2 11, 81.97, 12
2 1 22, 84.61, 11